Record 1
Diffraction record for AlF3. The powder XRD pattern is theoretical, not measured: it uses a GGA-PBE-relaxed structure and Cu Kα (λ = 1.5418 Å).
Peak positions follow from Bragg's law for the DFT cell and can differ from measured ones.

Atomic structure:
```
AlF3
1.0
11.630 0.000 0.000
0.000 11.630 0.000
0.000 0.000 3.641
Al F
10 30
direct
0.000 0.500 0.000
0.076 0.208 0.000
0.208 0.924 0.000
0.292 0.424 0.000
0.424 0.708 0.000
0.500 0.000 0.000
0.576 0.292 0.000
0.708 0.576 0.000
0.792 0.076 0.000
0.924 0.792 0.000
0.000 0.345 0.000
0.000 0.500 0.500
0.000 0.655 0.000
0.067 0.859 0.000
0.077 0.208 0.500
0.141 0.067 0.000
0.155 0.500 0.000
0.208 0.923 0.500
0.215 0.285 0.000
0.285 0.785 0.000
0.292 0.423 0.500
0.345 0.000 0.000
0.359 0.567 0.000
0.423 0.708 0.500
0.433 0.359 0.000
0.500 0.000 0.500
0.500 0.155 0.000
0.500 0.845 0.000
0.567 0.641 0.000
0.577 0.292 0.500
0.641 0.433 0.000
0.655 0.000 0.000
0.708 0.577 0.500
0.715 0.215 0.000
0.785 0.715 0.000
0.792 0.077 0.500
0.845 0.500 0.000
0.859 0.933 0.000
0.923 0.792 0.500
0.933 0.141 0.000
```

Most intense lines, 2θ from 10° to 90°, in order of rising 2θ:
d 5.201, 17.0 deg, intensity 689
d 4.112, 21.6 deg, intensity 148
d 3.678, 24.2 deg, intensity 836
d 3.641, 24.4 deg, intensity 1000
d 3.226, 27.7 deg, intensity 426
d 1.839, 49.6 deg, intensity 271
d 1.820, 50.1 deg, intensity 380
d 1.734, 52.8 deg, intensity 226
d 1.645, 55.9 deg, intensity 331
d 1.220, 78.4 deg, intensity 209


Record 2
Diffraction record for AlF3. The powder XRD pattern is theoretical, not measured: it uses a GGA-PBE-relaxed structure and Cu Kα (λ = 1.5418 Å).
Peak positions follow from Bragg's law for the DFT cell and can differ from measured ones.

Atomic structure:
```
AlF3
1.0
3.638 0.000 0.000
0.125 5.280 0.000
0.063 2.542 5.325
Al F
2 6
direct
0.000 0.000 0.000
0.000 0.275 0.463
0.000 0.139 0.231
0.000 0.638 0.233
0.012 0.918 0.726
0.500 0.281 0.457
0.500 0.994 0.007
0.988 0.357 0.737
```

Most intense lines, 2θ from 10° to 90°, in order of rising 2θ:
d 4.765, 18.6 deg, intensity 959
d 4.696, 18.9 deg, intensity 1000
d 3.637, 24.5 deg, intensity 918
d 2.971, 30.1 deg, intensity 295
d 2.921, 30.6 deg, intensity 314
d 2.148, 42.1 deg, intensity 161
d 1.892, 48.1 deg, intensity 367
d 1.857, 49.0 deg, intensity 363
d 1.818, 50.2 deg, intensity 348
d 1.666, 55.1 deg, intensity 151


Record 3
Diffraction record for AlF3. The powder XRD pattern is theoretical, not measured: it uses a GGA-PBE-relaxed structure and Cu Kα (λ = 1.5418 Å).
Peak positions follow from Bragg's law for the DFT cell and can differ from measured ones.

Atomic structure:
```
AlF3
1.0
2.517 1.453 4.206
-2.517 1.453 4.206
0.000 -2.907 4.206
Al F
2 6
direct
0.000 0.000 0.000
0.500 0.500 0.500
0.186 0.750 0.314
0.250 0.686 0.814
0.314 0.186 0.750
0.686 0.814 0.250
0.750 0.314 0.186
0.814 0.250 0.686
```

Most intense lines, 2θ from 10° to 90°, in order of rising 2θ:
d 3.587, 24.8 deg, intensity 1000
d 2.160, 41.8 deg, intensity 198
d 1.793, 50.9 deg, intensity 321
d 1.634, 56.3 deg, intensity 46
d 1.614, 57.1 deg, intensity 203
d 1.594, 57.8 deg, intensity 122
d 1.278, 74.2 deg, intensity 84
d 1.259, 75.5 deg, intensity 45
d 1.204, 79.7 deg, intensity 40
d 1.188, 81.0 deg, intensity 71


Record 4
Diffraction record for AlF3. The powder XRD pattern is theoretical, not measured: it uses a GGA-PBE-relaxed structure and Cu Kα (λ = 1.5418 Å).
Peak positions follow from Bragg's law for the DFT cell and can differ from measured ones.

Atomic structure:
```
AlF3
1.0
3.639 0.000 0.000
0.084 5.322 0.000
0.063 2.588 5.308
Al F
2 6
direct
0.000 0.000 0.000
0.000 0.275 0.461
0.000 0.139 0.230
0.000 0.638 0.231
0.007 0.920 0.726
0.500 0.281 0.452
0.500 0.993 0.009
0.993 0.355 0.735
```

Most intense lines, 2θ from 10° to 90°, in order of rising 2θ:
d 4.784, 18.5 deg, intensity 965
d 4.731, 18.8 deg, intensity 1000
d 3.638, 24.5 deg, intensity 909
d 2.965, 30.1 deg, intensity 295
d 2.928, 30.5 deg, intensity 292
d 1.892, 48.1 deg, intensity 359
d 1.866, 48.8 deg, intensity 358
d 1.819, 50.1 deg, intensity 345
d 1.707, 53.7 deg, intensity 99
d 1.294, 73.2 deg, intensity 88